[1]
This entry pairs a crystal structure of Zr6IrPd with its theoretical powder diffraction line list. Radiation: Cu Kα. Structure: DFT lattice parameters and positions (GGA-PBE).
Neutral-atom scattering factors, no anomalous dispersion.

The 12 most intense peaks (2θ from 15° to 90°), by angle:
2θ = 19.8°, intensity 4, (1 0 1)
2θ = 36.2°, intensity 100, (1 1 4)
2θ = 38.2°, intensity 45, (2 0 0)
2θ = 40.1°, intensity 3, (2 0 2)
2θ = 45.6°, intensity 8, (1 1 6)
2θ = 49.0°, intensity 9, (0 0 8)
2θ = 55.1°, intensity 15, (2 2 0)
2θ = 63.8°, intensity 16, (2 0 8)
2θ = 67.7°, intensity 31, (3 1 4)
2θ = 76.8°, intensity 9, (2 2 8)
2θ = 81.7°, intensity 5, (4 0 0)
2θ = 83.2°, intensity 6, (1 1 12)

Atomic structure:
```
data_Zr6IrPd
_chemical_formula_sum 'Zr12 Ir2 Pd2'
_cell_length_a 4.7152
_cell_length_b 4.7152
_cell_length_c 14.8695
_cell_angle_alpha 90.00
_cell_angle_beta 90.00
_cell_angle_gamma 90.00
_space_group_name_H-M_alt 'I 4/m m m'
_space_group_IT_number 139
_space_group_name_Hall '-I 4 2'
loop_
_atom_site_label
_atom_site_fract_x
_atom_site_fract_y
_atom_site_fract_z
_atom_site_occupancy
Zr1 0.0000 0.0000 0.2496 1
Zr2 0.0000 0.5000 0.1110 1
Ir1 0.0000 0.0000 0.0000 1
Pd1 0.0000 0.0000 0.5000 1
```

=====

[2]
This entry pairs a crystal structure of Nd5Cd2 with its theoretical powder diffraction line list. Radiation: Cu Kα. Structure: DFT lattice parameters and positions (GGA-PBE).
Neutral-atom scattering factors, no anomalous dispersion.

The 12 most intense peaks (2θ from 15° to 90°), by angle:
2θ = 25.8°, intensity 8, (1 1 -2)
2θ = 31.5°, intensity 91, (1 1 2)
2θ = 32.1°, intensity 100, (0 2 0)
2θ = 45.5°, intensity 22, (2 2 -3)
2θ = 45.6°, intensity 11, (4 0 1)
2θ = 55.6°, intensity 16, (2 0 4)
2θ = 56.8°, intensity 34, (4 2 1)
2θ = 57.2°, intensity 19, (6 0 -2)
2θ = 65.6°, intensity 7, (2 2 4)
2θ = 67.1°, intensity 12, (0 4 0)
2θ = 74.9°, intensity 9, (4 2 -6)
2θ = 76.0°, intensity 11, (5 3 -4)

Atomic structure:
```
data_Nd5Cd2
_chemical_formula_sum 'Nd10 Cd4'
_cell_length_a 9.6548
_cell_length_b 5.5818
_cell_length_c 8.8255
_cell_angle_alpha 90.00
_cell_angle_beta 111.50
_cell_angle_gamma 90.00
_space_group_name_H-M_alt 'C 1 2/m 1'
_space_group_IT_number 12
loop_
_space_group_symop_operation_xyz
'x,y,z'
'-x,-y,-z'
'-x,y,-z'
'x,-y,z'
'x+1/2,y+1/2,z'
'-x+1/2,-y+1/2,-z'
'-x+1/2,y+1/2,-z'
'x+1/2,-y+1/2,z'
loop_
_atom_site_label
_atom_site_fract_x
_atom_site_fract_y
_atom_site_fract_z
_atom_site_occupancy
Nd1 0.0000 0.0000 0.0000 1
Nd2 0.0750 0.5000 0.7247 1
Nd3 0.1579 0.0000 0.4739 1
Cd1 0.2107 0.5000 0.1335 1
```

=====

[3]
This entry pairs a crystal structure of Nd3YB2N6 with its theoretical powder diffraction line list. Radiation: Cu Kα. Structure: DFT lattice parameters and positions (GGA-PBE).
Neutral-atom scattering factors, no anomalous dispersion.

The 12 most intense peaks (2θ from 15° to 90°), by angle:
2θ = 23.0°, intensity 73, (1 0 1)
2θ = 31.8°, intensity 100, (1 1 0)
2θ = 33.7°, intensity 90, (0 1 2)
2θ = 39.6°, intensity 36, (0 2 1)
2θ = 47.0°, intensity 44, (2 0 2)
2θ = 51.6°, intensity 20, (2 1 1)
2θ = 54.2°, intensity 19, (1 1 3)
2θ = 56.6°, intensity 19, (3 0 0)
2θ = 57.8°, intensity 35, (1 2 2)
2θ = 66.4°, intensity 15, (2 2 0)
2θ = 76.6°, intensity 17, (3 1 2)
2θ = 79.7°, intensity 16, (2 1 4)

Atomic structure:
```
data_Nd3YB2N6
_chemical_formula_sum 'Nd3 Y1 B2 N6'
_cell_length_a 5.6309
_cell_length_b 5.6309
_cell_length_c 6.3487
_cell_angle_alpha 90.00
_cell_angle_beta 90.00
_cell_angle_gamma 120.00
_space_group_name_H-M_alt 'P -3 m 1'
_space_group_IT_number 164
_space_group_name_Hall '-P 3 2"'
loop_
_atom_site_label
_atom_site_fract_x
_atom_site_fract_y
_atom_site_fract_z
_atom_site_occupancy
Nd1 0.0000 0.0000 0.0000 1
Nd2 0.3333 0.6667 0.6619 1
Y1 0.0000 0.0000 0.5000 1
B1 0.3333 0.6667 0.2483 1
N1 0.1848 0.3696 0.2736 1
```

=====

[4]
This entry pairs a crystal structure of LiTlAg2Cl4 with its theoretical powder diffraction line list. Radiation: Cu Kα. Structure: DFT lattice parameters and positions (GGA-PBE).
Neutral-atom scattering factors, no anomalous dispersion.

The 12 most intense peaks (2θ from 15° to 90°), by angle:
2θ = 16.4°, intensity 47, (1 0 1)
2θ = 25.6°, intensity 29, (2 0 0)
2θ = 27.6°, intensity 100, (1 1 2)
2θ = 30.5°, intensity 40, (2 1 1)
2θ = 34.0°, intensity 17, (1 0 3)
2θ = 36.5°, intensity 33, (2 2 0)
2θ = 40.2°, intensity 12, (3 0 1)
2θ = 46.4°, intensity 50, (3 1 2)
2θ = 50.1°, intensity 25, (2 0 4)
2θ = 57.7°, intensity 10, (3 2 3)
2θ = 72.7°, intensity 11, (5 1 2)
2θ = 75.6°, intensity 12, (4 2 4)

Atomic structure:
```
data_LiTlAg2Cl4
_chemical_formula_sum 'Li2 Tl2 Ag4 Cl8'
_cell_length_a 6.9666
_cell_length_b 6.9666
_cell_length_c 8.5387
_cell_angle_alpha 90.00
_cell_angle_beta 90.00
_cell_angle_gamma 90.00
_space_group_name_H-M_alt 'I -4 2 m'
_space_group_IT_number 121
_space_group_name_Hall 'I -4 2'
loop_
_atom_site_label
_atom_site_fract_x
_atom_site_fract_y
_atom_site_fract_z
_atom_site_occupancy
Li1 0.0000 0.0000 0.0000 1
Tl1 0.0000 0.0000 0.5000 1
Ag1 0.0000 0.5000 0.2500 1
Cl1 0.2007 0.2007 0.8461 1
```

=====

[5]
This entry pairs a crystal structure of Pm4Re3N10 with its theoretical powder diffraction line list. Radiation: Cu Kα. Structure: DFT lattice parameters and positions (GGA-PBE).
Neutral-atom scattering factors, no anomalous dispersion.

The 12 most intense peaks (2θ from 15° to 90°), by angle:
2θ = 31.8°, intensity 100, (1 0 7)
2θ = 32.1°, intensity 56, (1 1 0)
2θ = 45.2°, intensity 11, (0 0 14)
2θ = 46.1°, intensity 26, (2 0 0)
2θ = 56.6°, intensity 17, (1 1 14)
2θ = 57.1°, intensity 39, (2 1 7)
2θ = 66.6°, intensity 14, (2 0 14)
2θ = 67.2°, intensity 8, (2 2 0)
2θ = 75.0°, intensity 5, (1 0 21)
2θ = 76.3°, intensity 9, (3 0 7)
2θ = 76.5°, intensity 9, (3 1 0)
2θ = 84.8°, intensity 8, (2 2 14)

Atomic structure:
```
data_Pm4Re3N10
_chemical_formula_sum 'Pm8 Re6 N20'
_cell_length_a 3.9378
_cell_length_b 3.9378
_cell_length_c 28.0785
_cell_angle_alpha 90.00
_cell_angle_beta 90.00
_cell_angle_gamma 90.00
_space_group_name_H-M_alt 'I 4/m m m'
_space_group_IT_number 139
_space_group_name_Hall '-I 4 2'
loop_
_atom_site_label
_atom_site_fract_x
_atom_site_fract_y
_atom_site_fract_z
_atom_site_occupancy
Pm1 0.0000 0.0000 0.0677 1
Pm2 0.0000 0.0000 0.2029 1
Re1 0.0000 0.0000 0.3594 1
Re2 0.0000 0.0000 0.5000 1
N1 0.0000 0.0000 0.2866 1
N2 0.0000 0.0000 0.4295 1
N3 0.0000 0.5000 0.0000 1
N4 0.0000 0.5000 0.1408 1
```

=====

[6]
This entry pairs a crystal structure of Li2PaI7 with its theoretical powder diffraction line list. Radiation: Cu Kα. Structure: DFT lattice parameters and positions (GGA-PBE).
Neutral-atom scattering factors, no anomalous dispersion.

The 12 most intense peaks (2θ from 15° to 90°), by angle:
2θ = 17.1°, intensity 44, (2 0 -2)
2θ = 23.2°, intensity 42, (3 1 -1)
2θ = 23.4°, intensity 41, (2 2 -1)
2θ = 25.1°, intensity 30, (2 2 -2)
2θ = 26.3°, intensity 100, (2 0 -4)
2θ = 27.6°, intensity 78, (2 2 2)
2θ = 28.3°, intensity 65, (3 1 2)
2θ = 28.4°, intensity 45, (1 3 0)
2θ = 29.4°, intensity 55, (1 3 1)
2θ = 35.9°, intensity 30, (3 1 -5)
2θ = 37.5°, intensity 36, (5 1 0)
2θ = 42.0°, intensity 35, (0 2 6)

Atomic structure:
```
data_Li2PaI7
_chemical_formula_sum 'Li8 Pa4 I28'
_cell_length_a 12.6023
_cell_length_b 9.7323
_cell_length_c 14.6257
_cell_angle_alpha 90.00
_cell_angle_beta 100.42
_cell_angle_gamma 90.00
_space_group_name_H-M_alt 'C 1 2/c 1'
_space_group_IT_number 15
loop_
_space_group_symop_operation_xyz
'x,y,z'
'-x,-y,-z'
'-x,y,-z+1/2'
'x,-y,z+1/2'
'x+1/2,y+1/2,z'
'-x+1/2,-y+1/2,-z'
'-x+1/2,y+1/2,-z+1/2'
'x+1/2,-y+1/2,z+1/2'
loop_
_atom_site_label
_atom_site_fract_x
_atom_site_fract_y
_atom_site_fract_z
_atom_site_occupancy
Li1 0.2272 0.1441 0.2585 1
Pa1 0.0000 0.2146 0.7500 1
I1 0.0000 0.1164 0.2500 1
I2 0.1131 0.2187 0.5899 1
I3 0.1184 0.4607 0.8465 1
I4 0.2247 0.1108 0.8561 1
```

=====

Repeat the first record exactly.
This entry pairs a crystal structure of Zr6IrPd with its theoretical powder diffraction line list. Radiation: Cu Kα. Structure: DFT lattice parameters and positions (GGA-PBE).
Neutral-atom scattering factors, no anomalous dispersion.

The 12 most intense peaks (2θ from 15° to 90°), by angle:
2θ = 19.8°, intensity 4, (1 0 1)
2θ = 36.2°, intensity 100, (1 1 4)
2θ = 38.2°, intensity 45, (2 0 0)
2θ = 40.1°, intensity 3, (2 0 2)
2θ = 45.6°, intensity 8, (1 1 6)
2θ = 49.0°, intensity 9, (0 0 8)
2θ = 55.1°, intensity 15, (2 2 0)
2θ = 63.8°, intensity 16, (2 0 8)
2θ = 67.7°, intensity 31, (3 1 4)
2θ = 76.8°, intensity 9, (2 2 8)
2θ = 81.7°, intensity 5, (4 0 0)
2θ = 83.2°, intensity 6, (1 1 12)

Atomic structure:
```
data_Zr6IrPd
_chemical_formula_sum 'Zr12 Ir2 Pd2'
_cell_length_a 4.7152
_cell_length_b 4.7152
_cell_length_c 14.8695
_cell_angle_alpha 90.00
_cell_angle_beta 90.00
_cell_angle_gamma 90.00
_space_group_name_H-M_alt 'I 4/m m m'
_space_group_IT_number 139
_space_group_name_Hall '-I 4 2'
loop_
_atom_site_label
_atom_site_fract_x
_atom_site_fract_y
_atom_site_fract_z
_atom_site_occupancy
Zr1 0.0000 0.0000 0.2496 1
Zr2 0.0000 0.5000 0.1110 1
Ir1 0.0000 0.0000 0.0000 1
Pd1 0.0000 0.0000 0.5000 1
```

=====

What is the formula in the second record? Nd5Cd2